(1)
La2Ni: computed X-ray diffraction stick pattern (Cu Kα (weighted mean of Kα1 and Kα2)), based on a GGA-PBE-relaxed structure.
No peak broadening, texture or thermal motion is included.

Cell and atoms:
Cell lengths 6.7063, 6.8254, 4.0760 Å; angles 90.00, 90.00, 90.00 degrees
Fractional positions:
La (0.1414, 0.2432, 0.0000)
La (0.3586, 0.7432, 0.5000)
La (0.6414, 0.2568, 0.5000)
La (0.8586, 0.7568, 0.0000)
Ni (0.0000, 0.0000, 0.5000)
Ni (0.5000, 0.5000, 0.0000)

Top 12 peaks for 2θ from 15° to 90°, most intense first:
d = 3.102 Å, 28.8 deg, I = 100
d = 3.010 Å, 29.7 deg, I = 73
d = 2.438 Å, 36.9 deg, I = 65
d = 3.413 Å, 26.1 deg, I = 30
d = 1.960 Å, 46.3 deg, I = 28
d = 1.883 Å, 48.3 deg, I = 27
d = 1.687 Å, 54.4 deg, I = 27
d = 1.905 Å, 47.7 deg, I = 24
d = 2.038 Å, 44.5 deg, I = 19
d = 4.784 Å, 18.5 deg, I = 18
d = 3.483 Å, 25.6 deg, I = 17
d = 1.308 Å, 72.2 deg, I = 16

=====

(2)
La3Ni: computed X-ray diffraction stick pattern (Cu Kα (weighted mean of Kα1 and Kα2)), based on a GGA-PBE-relaxed structure.
No peak broadening, texture or thermal motion is included.

Cell and atoms:
Cell lengths 9.0839, 9.0839, 9.0839 Å; angles 97.14, 97.14, 138.72 degrees
Fractional positions:
La (0.0008, 0.6377, 0.6388)
La (0.0752, 0.0739, 0.6084)
La (0.1610, 0.3661, 0.9990)
La (0.3623, 0.0012, 0.3631)
La (0.3670, 0.1620, 0.0010)
La (0.4655, 0.4668, 0.3916)
La (0.5332, 0.9248, 0.9987)
La (0.6339, 0.6330, 0.7950)
La (0.6381, 0.9992, 0.6369)
La (0.8380, 0.8390, 0.2050)
La (0.9261, 0.5345, 0.0013)
La (0.9988, 0.3619, 0.3612)
Ni (0.2034, 0.4998, 0.7008)
Ni (0.4974, 0.7966, 0.2964)
Ni (0.5002, 0.2011, 0.7036)
Ni (0.7989, 0.5026, 0.2992)

Top 12 peaks for 2θ from 15° to 90°, most intense first:
d = 2.957 Å, 30.2 deg, I = 100
d = 2.654 Å, 33.8 deg, I = 100
d = 2.831 Å, 31.6 deg, I = 87
d = 2.997 Å, 29.8 deg, I = 79
d = 1.600 Å, 57.6 deg, I = 37
d = 2.558 Å, 35.1 deg, I = 32
d = 1.722 Å, 53.2 deg, I = 30
d = 1.700 Å, 53.9 deg, I = 29
d = 2.688 Å, 33.3 deg, I = 28
d = 1.889 Å, 48.2 deg, I = 26
d = 1.798 Å, 50.8 deg, I = 25
d = 2.449 Å, 36.7 deg, I = 25

=====

(3)
La8Ni: computed X-ray diffraction stick pattern (Cu Kα (weighted mean of Kα1 and Kα2)), based on a GGA-PBE-relaxed structure.
No peak broadening, texture or thermal motion is included.

Cell and atoms:
Cell lengths 7.9025, 7.9025, 7.9025 Å; angles 96.46, 96.46, 140.80 degrees
Fractional positions:
La (0.0000, 0.3040, 0.3040)
La (0.0000, 0.6960, 0.6960)
La (0.3040, 0.0000, 0.3040)
La (0.3329, 0.3329, 0.6659)
La (0.3329, 0.6671, 0.0000)
La (0.6671, 0.3329, 0.0000)
La (0.6671, 0.6671, 0.3341)
La (0.6960, 0.0000, 0.6960)
Ni (0.0000, 0.0000, 0.0000)

Top 12 peaks for 2θ from 15° to 90°, most intense first:
d = 2.926 Å, 30.5 deg, I = 100
d = 2.482 Å, 36.2 deg, I = 29
d = 1.812 Å, 50.4 deg, I = 23
d = 2.651 Å, 33.8 deg, I = 20
d = 1.505 Å, 61.6 deg, I = 20
d = 1.578 Å, 58.5 deg, I = 16
d = 1.463 Å, 63.6 deg, I = 10
d = 1.755 Å, 52.1 deg, I = 9
d = 1.174 Å, 82.1 deg, I = 9
d = 1.169 Å, 82.5 deg, I = 5
d = 2.558 Å, 35.1 deg, I = 4
d = 5.264 Å, 16.8 deg, I = 4

=====

(4)
LaNi3: computed X-ray diffraction stick pattern (Cu Kα (weighted mean of Kα1 and Kα2)), based on a GGA-PBE-relaxed structure.
No peak broadening, texture or thermal motion is included.

Cell and atoms:
Cell lengths 4.0867, 6.4097, 5.2394 Å; angles 90.00, 90.00, 90.00 degrees
Fractional positions:
La (0.2500, 0.2500, 0.1263)
La (0.7500, 0.7500, 0.8737)
Ni (0.2500, 0.0552, 0.6080)
Ni (0.2500, 0.4448, 0.6080)
Ni (0.2500, 0.7500, 0.3343)
Ni (0.7500, 0.2500, 0.6657)
Ni (0.7500, 0.5552, 0.3920)
Ni (0.7500, 0.9448, 0.3920)

Top 12 peaks for 2θ from 15° to 90°, most intense first:
d = 2.272 Å, 39.7 deg, I = 100
d = 2.425 Å, 37.1 deg, I = 72
d = 1.781 Å, 51.3 deg, I = 46
d = 3.446 Å, 25.9 deg, I = 44
d = 2.043 Å, 44.3 deg, I = 42
d = 2.205 Å, 40.9 deg, I = 42
d = 2.879 Å, 31.1 deg, I = 37
d = 2.734 Å, 32.8 deg, I = 36
d = 1.563 Å, 59.1 deg, I = 36
d = 1.435 Å, 65.0 deg, I = 25
d = 1.637 Å, 56.2 deg, I = 15
d = 1.284 Å, 73.8 deg, I = 15

=====

(5)
La3Ni4: computed X-ray diffraction stick pattern (Cu Kα (weighted mean of Kα1 and Kα2)), based on a GGA-PBE-relaxed structure.
No peak broadening, texture or thermal motion is included.

Cell and atoms:
Cell lengths 5.2518, 5.2518, 13.7534 Å; angles 90.01, 90.01, 50.53 degrees
Fractional positions:
La (0.0000, 0.0000, 0.0000)
La (0.9996, 0.9996, 0.3011)
La (0.5100, 0.5100, 0.4997)
La (0.5110, 0.5110, 0.8015)
La (0.6984, 0.6984, 0.1506)
La (0.8115, 0.8115, 0.6506)
Ni (0.1082, 0.1082, 0.6511)
Ni (0.2163, 0.2163, 0.4868)
Ni (0.2179, 0.2179, 0.8148)
Ni (0.2923, 0.2923, 0.3152)
Ni (0.2928, 0.2928, 0.9862)
Ni (0.4012, 0.4012, 0.1507)
Ni (0.7519, 0.7519, 0.4030)
Ni (0.7543, 0.7543, 0.8998)

Top 12 peaks for 2θ from 15° to 90°, most intense first:
d = 3.037 Å, 29.4 deg, I = 100
d = 2.542 Å, 35.3 deg, I = 68
d = 2.242 Å, 40.2 deg, I = 54
d = 2.785 Å, 32.1 deg, I = 34
d = 2.622 Å, 34.2 deg, I = 29
d = 2.292 Å, 39.3 deg, I = 25
d = 1.565 Å, 59.0 deg, I = 25
d = 2.067 Å, 43.8 deg, I = 23
d = 1.746 Å, 52.4 deg, I = 17
d = 2.375 Å, 37.9 deg, I = 16
d = 1.603 Å, 57.5 deg, I = 16
d = 2.253 Å, 40.0 deg, I = 16

=====

(6)
La2Ni: computed X-ray diffraction stick pattern (Cu Kα (weighted mean of Kα1 and Kα2)), based on a GGA-PBE-relaxed structure.
No peak broadening, texture or thermal motion is included.

Cell and atoms:
Cell lengths 7.2356, 7.2356, 4.4210 Å; angles 90.00, 90.00, 47.49 degrees
Fractional positions:
La (0.1061, 0.6358, 0.7500)
La (0.3642, 0.8939, 0.7500)
La (0.6358, 0.1061, 0.2500)
La (0.8939, 0.3642, 0.2500)
Ni (0.3529, 0.6471, 0.2500)
Ni (0.6471, 0.3529, 0.7500)

Top 12 peaks for 2θ from 15° to 90°, most intense first:
d = 2.753 Å, 32.5 deg, I = 100
d = 3.404 Å, 26.2 deg, I = 48
d = 2.913 Å, 30.7 deg, I = 36
d = 2.117 Å, 42.7 deg, I = 33
d = 1.762 Å, 51.9 deg, I = 33
d = 3.312 Å, 26.9 deg, I = 26
d = 2.210 Å, 40.8 deg, I = 25
d = 2.187 Å, 41.3 deg, I = 24
d = 1.555 Å, 59.4 deg, I = 16
d = 1.359 Å, 69.1 deg, I = 12
d = 1.140 Å, 85.1 deg, I = 11
d = 1.650 Å, 55.7 deg, I = 10